Record 1
For Nb3Mo3W2, a structure optimized by DFT (PBE) gives the theoretical powder diffraction line list in this record (Cu Kα X-rays).

Structure:
```
data_Nb3Mo3W2
_chemical_formula_sum 'Nb6 Mo6 W4'
_symmetry_space_group_name_H-M 'I m m m'
_symmetry_Int_Tables_number 71
_symmetry_space_group_name_Hall '-I 2 2'
_cell_length_a 4.5430
_cell_length_b 4.5651
_cell_length_c 12.8788
_cell_angle_alpha 90.00
_cell_angle_beta 90.00
_cell_angle_gamma 90.00
loop_
_atom_site_label
_atom_site_fract_x
_atom_site_fract_y
_atom_site_fract_z
_atom_site_occupancy
Nb1 0.0000 0.0000 0.0000 1
Nb2 0.0000 0.5000 0.1254 1
Mo1 0.0000 0.0000 0.5000 1
Mo2 0.0000 0.5000 0.3730 1
W1 0.0000 0.0000 0.2492 1
```

Top 12 peaks for 2θ = 15–90°, most intense first:
hkl	Position (°2θ)	d_spacing	Rel. int.
2 0 0	39.60	2.276	100.0
1 3 4	71.70	1.316	20.4
3 1 4	71.92	1.313	20.3
0 2 0	39.48	2.283	20.2
2 2 0	57.22	1.610	20.1
2 2 8	85.25	1.138	8.8
0 0 4	27.70	3.220	4.8
1 1 2	31.05	2.880	4.5
0 4 0	84.98	1.141	2.2
4 0 0	85.50	1.136	2.2
2 0 2	42.16	2.143	1.6
1 1 6	51.14	1.786	1.6

Record 2
For Nb12MoW6, a structure optimized by DFT (PBE) gives the theoretical powder diffraction line list in this record (Cu Kα X-rays).

Structure:
```
data_Nb12MoW6
_chemical_formula_sum 'Nb36 Mo3 W18'
_symmetry_space_group_name_H-M 'R -3 m'
_symmetry_Int_Tables_number 166
_symmetry_space_group_name_Hall '-R 3 2"'
_cell_length_a 11.1300
_cell_length_b 11.1300
_cell_length_c 9.7851
_cell_angle_alpha 90.00
_cell_angle_beta 90.00
_cell_angle_gamma 120.00
loop_
_atom_site_label
_atom_site_fract_x
_atom_site_fract_y
_atom_site_fract_z
_atom_site_occupancy
Nb1 0.0450 0.5225 0.1276 1
Nb2 0.0864 0.1728 0.7483 1
Mo1 0.0000 0.0000 0.5000 1
W1 0.0000 0.2600 0.0000 1
```

Top 12 peaks for 2θ = 15–90°, most intense first:
hkl	Position (°2θ)	d_spacing	Rel. int.
4 0 1	38.47	2.340	100.0
0 4 2	41.82	2.160	78.9
3 1 2	38.37	2.346	42.7
0 3 3	39.36	2.289	40.6
1 0 4	37.95	2.371	35.5
2 2 3	42.71	2.117	30.5
1 1 0	15.93	5.565	23.9
4 4 0	67.30	1.391	20.4
4 3 4	70.85	1.330	17.1
1 1 3	31.80	2.814	15.5
0 7 2	71.14	1.325	14.4
0 2 4	41.39	2.181	13.6

Record 3
For Nb2MoW3, a structure optimized by DFT (PBE) gives the theoretical powder diffraction line list in this record (Cu Kα X-rays).

Structure:
```
data_Nb2MoW3
_chemical_formula_sum 'Nb8 Mo4 W12'
_symmetry_space_group_name_H-M 'C m m m'
_symmetry_Int_Tables_number 65
_symmetry_space_group_name_Hall '-C 2 2'
_cell_length_a 4.5493
_cell_length_b 13.6467
_cell_length_c 6.4499
_cell_angle_alpha 90.00
_cell_angle_beta 90.00
_cell_angle_gamma 90.00
loop_
_atom_site_label
_atom_site_fract_x
_atom_site_fract_y
_atom_site_fract_z
_atom_site_occupancy
Nb1 0.0000 0.0000 0.0000 1
Nb2 0.0000 0.0000 0.5000 1
Nb3 0.0000 0.3331 0.0000 1
Mo1 0.0000 0.3330 0.5000 1
W1 0.0000 0.1680 0.2544 1
W2 0.0000 0.5000 0.2531 1
```

Top 11 peaks for 2θ = 15–90°, most intense first:
hkl	Position (°2θ)	d_spacing	Rel. int.
2 0 0	39.59	2.276	100.0
3 3 2	71.86	1.314	22.9
1 3 0	27.71	3.219	11.6
2 0 4	71.75	1.315	11.5
2 6 0	57.28	1.608	11.3
2 6 4	85.22	1.139	7.4
0 0 4	57.12	1.612	5.7
4 0 0	85.35	1.137	3.7
2 0 2	49.01	1.859	3.5
3 3 0	64.79	1.439	3.2
1 3 4	64.66	1.441	1.6

Record 4
For NbMo8W4, a structure optimized by DFT (PBE) gives the theoretical powder diffraction line list in this record (Cu Kα X-rays).

Structure:
```
data_NbMo8W4
_chemical_formula_sum 'Nb2 Mo16 W8'
_symmetry_space_group_name_H-M 'C 1 2/m 1'
_symmetry_Int_Tables_number 12
_cell_length_a 8.8626
_cell_length_b 6.2889
_cell_length_c 8.4185
_cell_angle_alpha 90.00
_cell_angle_beta 90.21
_cell_angle_gamma 90.00
loop_
_symmetry_equiv_pos_as_xyz
'x,y,z'
'-x,-y,-z'
'-x,y,-z'
'x,-y,z'
'x+1/2,y+1/2,z'
'-x+1/2,-y+1/2,-z'
'-x+1/2,y+1/2,-z'
'x+1/2,-y+1/2,z'
loop_
_atom_site_label
_atom_site_fract_x
_atom_site_fract_y
_atom_site_fract_z
_atom_site_occupancy
Nb1 0.0000 0.0000 0.0000 1
Mo1 0.0009 0.2597 0.7609 1
Mo2 0.2448 0.0000 0.2297 1
Mo3 0.2465 0.0000 0.7706 1
W1 0.0000 0.0000 0.5000 1
W2 0.0000 0.5000 0.5000 1
W3 0.2500 0.2500 0.5000 1
```

Top 12 peaks for 2θ = 15–90°, most intense first:
hkl	Position (°2θ)	d_spacing	Rel. int.
2 2 -2	41.22	2.190	100.0
2 2 1	36.63	2.453	27.7
4 0 0	40.72	2.216	26.5
0 0 4	42.98	2.105	20.9
0 0 3	31.89	2.806	14.8
4 4 0	73.92	1.282	9.0
0 4 0	58.73	1.572	8.8
6 2 -2	74.38	1.275	8.7
6 2 2	74.55	1.273	8.5
0 4 4	75.48	1.260	7.8
4 0 -4	60.57	1.529	7.5
4 0 4	60.82	1.523	7.3

Record 5
For NbMo3W9, a structure optimized by DFT (PBE) gives the theoretical powder diffraction line list in this record (Cu Kα X-rays).

Structure:
```
data_NbMo3W9
_chemical_formula_sum 'Nb2 Mo6 W18'
_symmetry_space_group_name_H-M 'P 1'
_symmetry_Int_Tables_number 1
_cell_length_a 2.7042
_cell_length_b 11.4142
_cell_length_c 14.5526
_cell_angle_alpha 87.41
_cell_angle_beta 86.43
_cell_angle_gamma 84.18
loop_
_symmetry_equiv_pos_as_xyz
'x,y,z'
loop_
_atom_site_label
_atom_site_fract_x
_atom_site_fract_y
_atom_site_fract_z
_atom_site_occupancy
Nb1 0.0000 0.0000 0.0000 1
Nb2 0.0694 0.5023 0.4970 1
Mo1 0.0042 0.7459 0.2513 1
Mo2 0.1630 0.8539 0.7095 1
Mo3 0.1952 0.3557 0.2092 1
Mo4 0.5870 0.2489 0.7471 1
Mo5 0.9134 0.6416 0.7828 1
Mo6 0.9232 0.1440 0.2826 1
W1 0.1318 0.5958 0.9652 1
W2 0.2600 0.7776 0.0717 1
W3 0.2623 0.2200 0.9288 1
W4 0.2923 0.7203 0.4297 1
W5 0.3318 0.4665 0.6775 1
W6 0.3481 0.9663 0.1811 1
W7 0.4193 0.0623 0.6444 1
W8 0.4864 0.3159 0.3897 1
W9 0.5069 0.8143 0.8893 1
W10 0.5384 0.5613 0.1390 1
W11 0.5966 0.9275 0.3588 1
W12 0.6215 0.1862 0.1043 1
W13 0.6309 0.6845 0.6042 1
W14 0.6903 0.4278 0.8583 1
W15 0.7440 0.0298 0.8217 1
W16 0.7717 0.5342 0.3182 1
W17 0.8296 0.0917 0.4710 1
W18 0.9347 0.2791 0.5692 1
```

Top 12 peaks for 2θ = 15–90°, most intense first:
hkl	Position (°2θ)	d_spacing	Rel. int.
0 2 6	39.93	2.258	100.0
1 3 -1	40.13	2.247	23.5
1 0 4	40.62	2.221	20.3
-1 2 2	40.93	2.205	17.2
0 1 -11	72.47	1.304	11.0
0 3 -1	24.55	3.627	9.4
0 2 2	19.48	4.557	8.5
2 3 3	73.77	1.284	7.3
0 4 12	86.20	1.128	7.3
1 5 5	57.74	1.597	6.4
1 -5 3	58.85	1.569	6.2
1 1 -3	39.59	2.276	6.2

Record 6
For Nb3Mo7W2, a structure optimized by DFT (PBE) gives the theoretical powder diffraction line list in this record (Cu Kα X-rays).

Structure:
```
data_Nb3Mo7W2
_chemical_formula_sum 'Nb6 Mo14 W4'
_symmetry_space_group_name_H-M 'C m m m'
_symmetry_Int_Tables_number 65
_symmetry_space_group_name_Hall '-C 2 2'
_cell_length_a 4.4013
_cell_length_b 21.5656
_cell_length_c 4.5621
_cell_angle_alpha 90.00
_cell_angle_beta 90.00
_cell_angle_gamma 90.00
loop_
_atom_site_label
_atom_site_fract_x
_atom_site_fract_y
_atom_site_fract_z
_atom_site_occupancy
Nb1 0.0000 0.0000 0.0000 1
Nb2 0.0000 0.1527 0.0000 1
Mo1 0.0000 0.0741 0.5000 1
Mo2 0.0000 0.2161 0.5000 1
Mo3 0.0000 0.4251 0.0000 1
Mo4 0.0000 0.5000 0.5000 1
W1 0.0000 0.3542 0.5000 1
```

Top 12 peaks for 2θ = 15–90°, most intense first:
hkl	Position (°2θ)	d_spacing	Rel. int.
1 7 1	40.86	2.208	100.0
0 0 2	39.51	2.281	28.6
2 0 0	41.01	2.201	25.7
2 0 2	58.26	1.584	17.9
1 7 3	72.58	1.303	17.9
3 7 1	74.61	1.272	16.6
0 0 1	19.46	4.562	13.1
2 14 2	88.56	1.104	10.0
1 3 1	30.85	2.899	9.3
0 4 0	16.44	5.391	9.1
0 14 2	74.30	1.277	8.2
0 14 0	60.06	1.540	7.7

Record 7
For NbMo14W, a structure optimized by DFT (PBE) gives the theoretical powder diffraction line list in this record (Cu Kα X-rays).

Structure:
```
data_NbMo14W
_chemical_formula_sum 'Nb1 Mo14 W1'
_symmetry_space_group_name_H-M 'P 4/m m m'
_symmetry_Int_Tables_number 123
_symmetry_space_group_name_Hall '-P 4 2'
_cell_length_a 6.3515
_cell_length_b 6.3515
_cell_length_c 6.3518
_cell_angle_alpha 90.00
_cell_angle_beta 90.00
_cell_angle_gamma 90.00
loop_
_atom_site_label
_atom_site_fract_x
_atom_site_fract_y
_atom_site_fract_z
_atom_site_occupancy
Nb1 0.0000 0.0000 0.0000 1
Mo1 0.0000 0.0000 0.5000 1
Mo2 0.0000 0.5000 0.0000 1
Mo3 0.0000 0.5000 0.5000 1
Mo4 0.2510 0.2510 0.2515 1
Mo5 0.5000 0.5000 0.5000 1
W1 0.5000 0.5000 0.0000 1
```

Top 9 peaks for 2θ = 15–90°, most intense first:
hkl	Position (°2θ)	d_spacing	Rel. int.
2 2 0	40.16	2.246	100.0
4 2 2	72.97	1.297	33.2
4 0 0	58.09	1.588	16.4
4 4 0	86.72	1.123	10.9
1 0 1	19.77	4.491	1.5
2 0 1	31.50	2.841	1.0
2 1 1	34.59	2.593	0.8
0 0 3	42.71	2.117	0.6
1 1 1	24.27	3.667	0.6

Record 8
For NbMoW5, a structure optimized by DFT (PBE) gives the theoretical powder diffraction line list in this record (Cu Kα X-rays).

Structure:
```
data_NbMoW5
_chemical_formula_sum 'Nb4 Mo4 W20'
_symmetry_space_group_name_H-M 'C 1 2/c 1'
_symmetry_Int_Tables_number 15
_cell_length_a 11.5472
_cell_length_b 8.8864
_cell_length_c 5.1818
_cell_angle_alpha 90.00
_cell_angle_beta 116.58
_cell_angle_gamma 90.00
loop_
_symmetry_equiv_pos_as_xyz
'x,y,z'
'-x,-y,-z'
'-x,y,-z+1/2'
'x,-y,z+1/2'
'x+1/2,y+1/2,z'
'-x+1/2,-y+1/2,-z'
'-x+1/2,y+1/2,-z+1/2'
'x+1/2,-y+1/2,z+1/2'
loop_
_atom_site_label
_atom_site_fract_x
_atom_site_fract_y
_atom_site_fract_z
_atom_site_occupancy
Nb1 0.0000 0.0929 0.2500 1
Mo1 0.2500 0.2500 0.5000 1
W1 0.0000 0.4358 0.2500 1
W2 0.1211 0.2475 0.8715 1
W3 0.2470 0.4999 0.2471 1
```

Top 12 peaks for 2θ = 15–90°, most intense first:
hkl	Position (°2θ)	d_spacing	Rel. int.
2 2 -2	40.32	2.237	100.0
4 2 0	40.41	2.232	55.4
0 2 2	44.10	2.054	51.0
1 3 -1	34.89	2.572	37.1
4 0 -2	38.89	2.316	31.0
3 3 -1	39.13	2.302	28.0
0 4 0	40.61	2.222	24.7
2 4 2	66.19	1.412	21.4
2 6 -2	73.69	1.286	19.4
2 4 0	44.39	2.041	18.2
8 2 -2	68.81	1.364	16.9
8 2 -4	87.04	1.119	12.3